The following is a calculated powder diffractogram of Na3CaPm2O6. It was derived from a PBE-relaxed structure, using λ = 1.5418 Å (Cu Kα).

Peak list (10 most intense, 10 to 80 degrees two-theta, by angle)
| Position (°2θ) | I_rel |
| --- | --- |
| 15.82 | 80 |
| 17.57 | 17 |
| 29.72 | 43 |
| 31.15 | 55 |
| 31.96 | 18 |
| 36.36 | 100 |
| 51.84 | 33 |
| 52.90 | 30 |
| 54.55 | 19 |
| 62.20 | 17 |

Atomic structure:
```
data_Na3CaPm2O6
_chemical_formula_sum 'Na3 Ca1 Pm2 O6'
_space_group_name_H-M_alt 'P 1'
_space_group_IT_number 1
_cell_length_a 6.110
_cell_length_b 6.110
_cell_length_c 5.959
_cell_angle_alpha 99.82
_cell_angle_beta 99.82
_cell_angle_gamma 120.01
loop_
_space_group_symop_operation_xyz
'x,y,z'
loop_
_atom_site_label
_atom_site_type_symbol
_atom_site_fract_x
_atom_site_fract_y
_atom_site_fract_z
_atom_site_occupancy
Na1 Na 0.000 0.000 0.000 1
Na2 Na 0.338 0.662 0.000 1
Na3 Na 0.662 0.338 0.000 1
Ca1 Ca 0.500 0.500 0.500 1
Pm1 Pm 0.167 0.833 0.500 1
Pm2 Pm 0.833 0.167 0.500 1
O1 O 0.088 0.427 0.281 1
O2 O 0.235 0.235 0.721 1
O3 O 0.427 0.088 0.281 1
O4 O 0.573 0.912 0.719 1
O5 O 0.765 0.765 0.279 1
O6 O 0.912 0.573 0.719 1
```